[1]
Structure and simulated X-ray diffraction stick pattern of Ti3PbS (a cell relaxed with GGA-PBE; λ = 1.5418 Å (Cu Kα)).
No peak broadening, texture or thermal motion is included.

Largest 10 diffraction maxima, low angle first, 2θ = 10–90°:
- 2θ 15.6, I 45
- 2θ 25.1, I 84
- 2θ 28.2, I 33
- 2θ 32.0, I 74
- 2θ 34.1, I 100
- 2θ 34.5, I 97
- 2θ 39.6, I 51
- 2θ 40.0, I 90
- 2θ 57.5, I 60
- 2θ 68.6, I 34

Structure:
```
Ti3PbS
1.0
3.1608 -6.4371 0.0000
3.1608 6.4371 0.0000
0.0000 0.0000 4.5532
Ti Pb S
6 2 2
Cartesian
1.5804 3.2186 2.2766
3.1608 4.8497 0.0000
1.8447 0.0000 2.2766
1.5804 -3.2186 2.2766
4.4769 0.0000 2.2766
3.1608 -4.8497 0.0000
3.1608 1.7591 0.0000
3.1608 -1.7591 0.0000
3.1608 4.9584 2.2766
3.1608 -4.9584 2.2766
```

[2]
Structure and simulated X-ray diffraction stick pattern of TiTl2PbS4 (a cell relaxed with GGA-PBE; λ = 1.5418 Å (Cu Kα)).
No peak broadening, texture or thermal motion is included.

Largest 10 diffraction maxima, low angle first, 2θ = 10–90°:
- 2θ 20.1, I 40
- 2θ 23.1, I 79
- 2θ 23.7, I 100
- 2θ 27.2, I 52
- 2θ 28.7, I 61
- 2θ 35.0, I 31
- 2θ 35.6, I 31
- 2θ 37.1, I 62
- 2θ 38.5, I 25
- 2θ 46.3, I 30

Structure:
```
TiTl2PbS4
1.0
8.4546 0.0000 0.0000
0.0000 9.4411 0.0000
0.0000 0.0000 6.2179
Ti Tl Pb S
2 4 2 8
Cartesian
0.0000 1.7289 0.0000
4.2273 7.7122 3.1090
1.7517 6.0896 0.7094
2.4755 3.3515 3.8183
5.9790 3.3515 3.8183
6.7028 6.0896 0.7094
0.0000 8.4699 3.8083
4.2273 0.9712 0.6993
0.0000 1.8974 3.9534
0.0000 8.9098 0.3562
1.9446 2.7818 0.6245
2.2827 6.6593 3.7335
4.2273 0.5313 3.4652
4.2273 7.5437 0.8444
6.1719 6.6593 3.7335
6.5100 2.7818 0.6245
```